The following is a simulated powder diffractogram of Hf2Sb2OsPd. It was derived from DFT lattice parameters and positions (PBE), using Cu Kα.

Crystal structure
Cell: 6.3446 6.3446 12.6681 Å, 90.00 90.00 90.00°
Space group I-42d (No. 122)
Symmetry-distinct sites (fractional):
1 Hf 0.2460 0.7500 0.1250
2 Sb 0.2451 0.2500 0.1250
3 Os 0.0000 0.0000 0.0000
4 Pd 0.0000 0.0000 0.5000

Peak list (6 most intense, 2θ = 10–90°, sorted by position)
| index | Position (°2θ) | Rel. int. |
| --- | --- | --- |
| 1 1 2 | 24.3 | 312 |
| 0 0 4 | 28.1 | 147 |
| 2 2 0 | 40.2 | 1000 |
| 3 1 2 | 47.6 | 157 |
| 4 0 0 | 58.2 | 113 |
| 2 2 8 | 73.1 | 343 |